No. 1
Simulated X-ray powder pattern
Compound: K3Ce3CuSe8
Radiation: Cu Ka
Structure: a crystal structure in Alexandria, relaxed with PBE

Structure:
```
data_K3Ce3CuSe8
_space_group_name_H-M_alt 'P -1'
_space_group_IT_number 2
_cell_length_a 8.3237
_cell_length_b 8.3347
_cell_length_c 8.9822
_cell_angle_alpha 64.03
_cell_angle_beta 64.03
_cell_angle_gamma 62.43
loop_
_space_group_symop_operation_xyz
'x,y,z'
'-x,-y,-z'
loop_
_atom_site_label
_atom_site_type_symbol
_atom_site_fract_x
_atom_site_fract_y
_atom_site_fract_z
K1 K 0.0000 0.0000 0.0000
K2 K 0.0000 0.5000 0.0000
K3 K 0.5000 0.0000 0.0000
Ce1 Ce 0.0000 0.5000 0.5000
Ce2 Ce 0.5000 0.0000 0.5000
Ce3 Ce 0.5000 0.5000 0.5000
Cu1 Cu 0.0000 0.0000 0.5000
Se1 Se 0.1998 0.2001 0.3287
Se2 Se 0.2485 0.7107 0.2910
Se3 Se 0.2625 0.2623 0.7105
Se4 Se 0.2867 0.7535 0.7072
```

Largest 12 diffraction maxima, by intensity, 2θ = 10–90°:
two_theta, I (rel.), hkl
28.82, 100, 2 0 2
11.47, 90, 0 0 1
29.19, 39, 2 2 0
36.69, 31, 2 2 -1
39.37, 26, 2 0 -2
43.54, 22, 4 2 2
41.86, 18, 2 -2 0
40.55, 17, 2 2 4
43.47, 15, 2 4 2
51.84, 15, 4 0 0
24.46, 14, 0 2 1
49.65, 12, 0 2 -3



No. 2
Simulated X-ray powder pattern
Compound: SmSb2Pd3
Radiation: Cu Ka
Structure: a crystal structure in Alexandria, relaxed with PBE

Structure:
```
data_SmSb2Pd3
_space_group_name_H-M_alt 'C 1 2/m 1'
_space_group_IT_number 12
_cell_length_a 17.5580
_cell_length_b 4.3287
_cell_length_c 10.4001
_cell_angle_alpha 90.00
_cell_angle_beta 107.24
_cell_angle_gamma 90.00
loop_
_space_group_symop_operation_xyz
'x,y,z'
'-x,-y,-z'
'-x,y,-z'
'x,-y,z'
'x+1/2,y+1/2,z'
'-x+1/2,-y+1/2,-z'
'-x+1/2,y+1/2,-z'
'x+1/2,-y+1/2,z'
loop_
_atom_site_label
_atom_site_type_symbol
_atom_site_fract_x
_atom_site_fract_y
_atom_site_fract_z
Sm1 Sm 0.0000 0.0000 0.0000
Sm2 Sm 0.1567 0.0000 0.7014
Sb1 Sb 0.0395 0.5000 0.7848
Sb2 Sb 0.1389 0.5000 0.4544
Sb3 Sb 0.1968 0.0000 0.1289
Pd1 Pd 0.0000 0.5000 0.5000
Pd2 Pd 0.0421 0.0000 0.3344
Pd3 Pd 0.1150 0.5000 0.1883
Pd4 Pd 0.1799 0.5000 0.9668
Pd5 Pd 0.2155 0.0000 0.3902
```

Largest 12 diffraction maxima, by intensity, 2θ = 10–90°:
two_theta, I (rel.), hkl
41.71, 100, 0 2 0
33.22, 98, 1 1 -3
40.84, 56, 2 0 4
34.42, 46, 3 1 2
32.86, 44, 5 1 -1
28.87, 31, 3 1 -2
59.82, 28, 2 2 4
41.27, 27, 8 0 -1
37.09, 27, 5 1 1
32.02, 20, 6 0 0
33.81, 19, 5 1 0
43.72, 18, 5 1 -4



No. 3
Simulated X-ray powder pattern
Compound: LaNdGa2Rh2
Radiation: Cu Ka
Structure: a crystal structure in Alexandria, relaxed with PBE

Structure:
```
data_LaNdGa2Rh2
_space_group_name_H-M_alt 'P -3 m 1'
_space_group_IT_number 164
_space_group_name_Hall '-P 3 2"'
_cell_length_a 4.3950
_cell_length_b 4.3950
_cell_length_c 7.8429
_cell_angle_alpha 90.00
_cell_angle_beta 90.00
_cell_angle_gamma 120.00
loop_
_atom_site_label
_atom_site_type_symbol
_atom_site_fract_x
_atom_site_fract_y
_atom_site_fract_z
La1 La 0.0000 0.0000 0.0000
Nd1 Nd 0.0000 0.0000 0.5000
Ga1 Ga 0.3333 0.6667 0.2590
Rh1 Rh 0.3333 0.6667 0.7473
```

Largest 12 diffraction maxima, by intensity, 2θ = 10–90°:
two_theta, I (rel.), hkl
32.79, 100, 1 0 2
41.07, 52, 1 1 0
63.60, 28, 1 1 4
53.52, 25, 0 2 2
69.61, 22, 2 1 2
46.31, 12, 0 0 4
74.84, 9, 3 0 0
77.16, 8, 1 0 6
23.37, 6, 1 0 0
89.12, 6, 2 2 0
26.02, 3, 0 1 1
52.50, 1, 0 1 4



No. 4
Simulated X-ray powder pattern
Compound: La2Tb7Ho4
Radiation: Cu Ka
Structure: a crystal structure in Alexandria, relaxed with PBE

Structure:
```
data_La2Tb7Ho4
_space_group_name_H-M_alt 'P -3 1 m'
_space_group_IT_number 162
_space_group_name_Hall '-P 3 2'
_cell_length_a 6.1045
_cell_length_b 6.1045
_cell_length_c 13.3185
_cell_angle_alpha 90.00
_cell_angle_beta 90.00
_cell_angle_gamma 120.00
loop_
_atom_site_label
_atom_site_type_symbol
_atom_site_fract_x
_atom_site_fract_y
_atom_site_fract_z
La1 La 0.3333 0.6667 0.0000
Tb1 Tb 0.0000 0.0000 0.0000
Tb2 Tb 0.0000 0.3583 0.7811
Ho1 Ho 0.0000 0.0000 0.3948
Ho2 Ho 0.3333 0.6667 0.5000
```

Largest 12 diffraction maxima, by intensity, 2θ = 10–90°:
two_theta, I (rel.), hkl
32.26, 100, 1 1 2
30.04, 48, 2 -1 1
35.70, 31, 2 -1 3
51.89, 30, 3 0 0
26.77, 21, 0 0 4
50.86, 17, 1 1 6
29.26, 15, 1 1 0
31.76, 15, 1 0 4
62.43, 14, 4 -2 2
26.21, 13, 1 0 3
33.65, 13, 0 0 5
63.67, 13, 2 -1 8



No. 5
Simulated X-ray powder pattern
Compound: RbSc2TiCl8
Radiation: Cu Ka
Structure: a crystal structure in Alexandria, relaxed with PBE

Structure:
```
data_RbSc2TiCl8
_space_group_name_H-M_alt 'R -3'
_space_group_IT_number 148
_space_group_name_Hall '-R 3'
_cell_length_a 6.5754
_cell_length_b 6.5754
_cell_length_c 28.1660
_cell_angle_alpha 90.00
_cell_angle_beta 90.00
_cell_angle_gamma 120.00
loop_
_atom_site_label
_atom_site_type_symbol
_atom_site_fract_x
_atom_site_fract_y
_atom_site_fract_z
Rb1 Rb 0.0000 0.0000 0.0000
Sc1 Sc 0.0000 0.0000 0.2350
Ti1 Ti 0.0000 0.0000 0.5000
Cl1 Cl 0.0000 0.0000 0.3188
Cl2 Cl 0.0030 0.6403 0.2186
```

Largest 12 diffraction maxima, by intensity, 2θ = 10–90°:
two_theta, I (rel.), hkl
20.05, 100, 1 0 4
28.77, 94, 2 -1 3
33.27, 77, 1 1 6
47.93, 56, 3 0 0
28.52, 51, 0 0 9
27.12, 46, 1 1 0
47.60, 45, 2 -1 12
33.96, 38, 0 2 4
56.72, 32, 3 0 9
43.99, 28, 2 1 4
29.84, 16, 0 1 8
89.17, 12, 5 -1 12



No. 6
Simulated X-ray powder pattern
Compound: KIr4S8
Radiation: Cu Ka
Structure: a crystal structure in Alexandria, relaxed with PBE

Structure:
```
data_KIr4S8
_space_group_name_H-M_alt 'C 1 m 1'
_space_group_IT_number 8
_cell_length_a 15.4497
_cell_length_b 3.6345
_cell_length_c 10.9597
_cell_angle_alpha 90.00
_cell_angle_beta 126.99
_cell_angle_gamma 90.00
loop_
_space_group_symop_operation_xyz
'x,y,z'
'x,-y,z'
'x+1/2,y+1/2,z'
'x+1/2,-y+1/2,z'
loop_
_atom_site_label
_atom_site_type_symbol
_atom_site_fract_x
_atom_site_fract_y
_atom_site_fract_z
K1 K 0.0000 0.0000 0.0000
Ir1 Ir 0.1328 0.0000 0.4650
Ir2 Ir 0.1581 0.5000 0.8190
Ir3 Ir 0.3411 0.0000 0.1801
Ir4 Ir 0.3664 0.5000 0.5341
S1 S 0.0420 0.0000 0.7602
S2 S 0.1026 0.5000 0.5705
S3 S 0.1715 0.5000 0.3566
S4 S 0.2135 0.5000 0.0785
S5 S 0.2857 0.0000 0.9205
S6 S 0.3277 0.0000 0.6424
S7 S 0.3966 0.0000 0.4286
S8 S 0.4572 0.5000 0.2389
```

Largest 12 diffraction maxima, by intensity, 2θ = 10–90°:
two_theta, I (rel.), hkl
49.40, 100, 7 1 -2
30.23, 92, 3 1 -1
11.55, 90, 2 0 -1
16.32, 83, 2 0 -2
31.00, 81, 3 1 -2
29.14, 75, 1 1 1
10.11, 72, 0 0 1
53.07, 62, 1 1 4
24.68, 58, 2 0 -3
24.14, 58, 4 0 -1
28.94, 53, 4 0 0
30.64, 45, 0 0 3



No. 7
Simulated X-ray powder pattern
Compound: ThRh2Pb
Radiation: Cu Ka
Structure: a crystal structure in Alexandria, relaxed with PBE

Structure:
```
data_ThRh2Pb
_space_group_name_H-M_alt 'P m m a'
_space_group_IT_number 51
_cell_length_a 5.7042
_cell_length_b 4.3114
_cell_length_c 7.3433
_cell_angle_alpha 90.00
_cell_angle_beta 90.00
_cell_angle_gamma 90.00
loop_
_space_group_symop_operation_xyz
'x,y,z'
'-x,-y,-z'
'-x+1/2,-y,z'
'x+1/2,y,-z'
'x+1/2,-y,-z'
'-x+1/2,y,z'
'-x,y,-z'
'x,-y,z'
loop_
_atom_site_label
_atom_site_type_symbol
_atom_site_fract_x
_atom_site_fract_y
_atom_site_fract_z
Th1 Th 0.2500 0.0000 0.2076
Rh1 Rh 0.0000 0.5000 0.0000
Rh2 Rh 0.2500 0.0000 0.8278
Pb1 Pb 0.2500 0.5000 0.6131
```

Largest 12 diffraction maxima, by intensity, 2θ = 10–90°:
two_theta, I (rel.), hkl
28.66, 100, 1 1 1
39.84, 89, 2 1 1
32.02, 88, 0 1 2
40.06, 67, 2 0 2
42.47, 63, 0 1 3
41.91, 58, 0 2 0
31.36, 56, 2 0 0
59.36, 43, 2 2 2
28.92, 39, 1 0 2
23.93, 29, 0 1 1
35.77, 27, 1 1 2
53.27, 26, 2 2 0



No. 8
Simulated X-ray powder pattern
Compound: Sm4Mg3Cd
Radiation: Cu Ka
Structure: a crystal structure in Alexandria, relaxed with PBE

Structure:
```
data_Sm4Mg3Cd
_space_group_name_H-M_alt 'P 4/m m m'
_space_group_IT_number 123
_space_group_name_Hall '-P 4 2'
_cell_length_a 3.8450
_cell_length_b 3.8450
_cell_length_c 15.3121
_cell_angle_alpha 90.00
_cell_angle_beta 90.00
_cell_angle_gamma 90.00
loop_
_atom_site_label
_atom_site_type_symbol
_atom_site_fract_x
_atom_site_fract_y
_atom_site_fract_z
Sm1 Sm 0.0000 0.0000 0.1236
Sm2 Sm 0.0000 0.0000 0.3733
Mg1 Mg 0.5000 0.5000 0.2500
Mg2 Mg 0.5000 0.5000 0.5000
Cd1 Cd 0.5000 0.5000 0.0000
```

Largest 12 diffraction maxima, by intensity, 2θ = 10–90°:
two_theta, I (rel.), hkl
32.99, 100, 1 1 0
58.88, 25, 2 1 4
23.13, 21, 1 0 0
59.02, 12, 1 1 8
47.28, 12, 2 0 0
78.72, 11, 3 1 0
23.24, 11, 0 0 4
40.70, 10, 1 1 4
53.30, 9, 2 1 0
69.27, 8, 2 0 8
47.50, 6, 0 0 8
79.07, 5, 1 0 12



No. 9
Simulated X-ray powder pattern
Compound: RbIn3Te3
Radiation: Cu Ka
Structure: a crystal structure in Alexandria, relaxed with PBE

Structure:
```
data_RbIn3Te3
_space_group_name_H-M_alt 'R -3'
_space_group_IT_number 148
_space_group_name_Hall '-R 3'
_cell_length_a 9.3203
_cell_length_b 9.3203
_cell_length_c 23.8639
_cell_angle_alpha 90.00
_cell_angle_beta 90.00
_cell_angle_gamma 120.00
loop_
_atom_site_label
_atom_site_type_symbol
_atom_site_fract_x
_atom_site_fract_y
_atom_site_fract_z
Rb1 Rb 0.0000 0.0000 0.1664
In1 In 0.0030 0.3250 0.6139
Te1 Te 0.0020 0.3427 0.4069
```

Largest 12 diffraction maxima, by intensity, 2θ = 10–90°:
two_theta, I (rel.), hkl
33.30, 100, 3 0 0
29.53, 60, 1 1 6
19.04, 47, 1 1 0
22.11, 45, 1 1 3
48.18, 42, 3 0 9
40.48, 30, 3 0 6
39.09, 27, 1 1 9
22.35, 24, 0 0 6
11.12, 20, 0 0 3
33.81, 20, 0 0 9
45.10, 18, 4 -2 6
59.51, 18, 3 3 0